The following is a simulated X-ray diffraction stick pattern of CdPd6Pb2. It was derived from DFT lattice parameters and positions (PBE), using Cu Kα.

Top 10 peaks for 10 to 90 degrees two-theta, low angle first:
d (Å), I/Imax
4.010, 22
2.899, 60
2.343, 41
2.262, 63
2.159, 100
1.825, 16
1.820, 15
1.563, 12
1.389, 15
1.337, 12

Cell and atoms:
```
data_CdPd6Pb2
_chemical_formula_sum 'Cd1 Pd6 Pb2'
_cell_length_a 8.1726
_cell_length_b 8.1726
_cell_length_c 3.1263
_cell_angle_alpha 100.88
_cell_angle_beta 100.88
_cell_angle_gamma 56.60
_space_group_name_H-M_alt 'P 1'
_space_group_IT_number 1
_space_group_name_Hall 'P 1'
loop_
_atom_site_label
_atom_site_fract_x
_atom_site_fract_y
_atom_site_fract_z
Cd1 0.0000 0.0000 0.0000
Pd1 0.0271 0.6404 0.8328
Pd2 0.2996 0.7004 0.5000
Pd3 0.3596 0.9729 0.1672
Pd4 0.6404 0.0271 0.8328
Pd5 0.7004 0.2996 0.5000
Pd6 0.9729 0.3596 0.1672
Pb1 0.3347 0.3347 0.3320
Pb2 0.6653 0.6653 0.6680
```

The following is a simulated X-ray diffraction stick pattern of CeRe4Se8. It was derived from DFT lattice parameters and positions (PBE), using Cu Kα.

Top 10 peaks for 10 to 90 degrees two-theta, low angle first:
d (Å), I/Imax
6.214, 57
3.198, 23
2.664, 100
2.059, 15
1.893, 34
1.874, 36
1.794, 14
1.533, 18
1.196, 14
1.186, 16

Cell and atoms:
```
data_CeRe4Se8
_chemical_formula_sum 'Ce1 Re4 Se8'
_cell_length_a 7.5727
_cell_length_b 7.5727
_cell_length_c 7.5727
_cell_angle_alpha 59.33
_cell_angle_beta 59.33
_cell_angle_gamma 59.33
_space_group_name_H-M_alt 'P 1'
_space_group_IT_number 1
_space_group_name_Hall 'P 1'
loop_
_atom_site_label
_atom_site_fract_x
_atom_site_fract_y
_atom_site_fract_z
Ce1 0.0000 0.0000 0.0000
Re1 0.0000 0.0000 0.5000
Re2 0.0000 0.5000 0.0000
Re3 0.5000 0.0000 0.0000
Re4 0.5000 0.5000 0.5000
Se1 0.2413 0.2413 0.2413
Se2 0.2519 0.7356 0.7356
Se3 0.2644 0.2644 0.7481
Se4 0.2644 0.7481 0.2644
Se5 0.7356 0.2519 0.7356
Se6 0.7356 0.7356 0.2519
Se7 0.7481 0.2644 0.2644
Se8 0.7587 0.7587 0.7587
```